Structure and computed X-ray diffraction stick pattern of Pm3ErZn4 (a cell relaxed with GGA-PBE; λ = 1.5418 Å (Cu Kα)).
Peak positions follow from Bragg's law for the DFT cell and can differ from measured ones.

Peak list (10 most intense, 2θ = 5–70°, in order of falling intensity)
2θ = 34.9°, rel. 100
2θ = 35.1°, rel. 99
2θ = 62.8°, rel. 53
2θ = 50.3°, rel. 35
2θ = 24.5°, rel. 32
2θ = 62.5°, rel. 18
2θ = 43.3°, rel. 7
2θ = 56.6°, rel. 7
2θ = 56.8°, rel. 7
2θ = 43.0°, rel. 2

```
Pm3ErZn4
1.0
2.5600 1.4780 8.4141
-2.5600 1.4780 8.4141
0.0000 -2.9561 8.4141
Pm Er Zn
3 1 4
direct
0.0000 0.0000 0.0000
0.2485 0.2485 0.2485
0.7515 0.7515 0.7515
0.5000 0.5000 0.5000
0.1264 0.1264 0.1264
0.3768 0.3768 0.3768
0.6232 0.6232 0.6232
0.8736 0.8736 0.8736
```

---

Structure and computed X-ray diffraction stick pattern of PmEr3Zn8 (a cell relaxed with GGA-PBE; λ = 1.5418 Å (Cu Kα)).
Peak positions follow from Bragg's law for the DFT cell and can differ from measured ones.

Peak list (10 most intense, 2θ = 5–70°, in order of falling intensity)
2θ = 38.6°, rel. 100
2θ = 36.3°, rel. 79
2θ = 32.4°, rel. 57
2θ = 39.0°, rel. 54
2θ = 60.3°, rel. 35
2θ = 66.5°, rel. 27
2θ = 67.7°, rel. 26
2θ = 61.9°, rel. 25
2θ = 37.5°, rel. 14
2θ = 57.7°, rel. 11

```
PmEr3Zn8
1.0
5.5345 0.0000 0.0000
-2.7672 4.7930 0.0000
0.0000 0.0000 8.6779
Pm Er Zn
1 3 8
direct
0.0000 0.0000 0.0000
0.0000 0.0000 0.3846
0.6667 0.3333 0.5060
0.6667 0.3333 0.8884
0.1653 0.3307 0.6902
0.1653 0.8347 0.6902
0.3333 0.6667 0.4436
0.3333 0.6667 0.9454
0.5026 0.0052 0.1972
0.5026 0.4974 0.1972
0.6693 0.8347 0.6902
0.9948 0.4974 0.1972
```

---

Structure and computed X-ray diffraction stick pattern of Pm4ErZn5 (a cell relaxed with GGA-PBE; λ = 1.5418 Å (Cu Kα)).
Peak positions follow from Bragg's law for the DFT cell and can differ from measured ones.

Peak list (10 most intense, 2θ = 5–70°, in order of falling intensity)
2θ = 34.9°, rel. 100
2θ = 62.7°, rel. 24
2θ = 50.3°, rel. 12
2θ = 62.5°, rel. 11
2θ = 24.5°, rel. 10
2θ = 50.0°, rel. 6
2θ = 24.4°, rel. 5
2θ = 43.1°, rel. 5
2θ = 56.7°, rel. 4
2θ = 56.5°, rel. 2

```
Pm4ErZn5
1.0
3.6287 0.0000 0.0000
0.0000 3.6287 0.0000
0.0000 0.0000 18.2312
Pm Er Zn
4 1 5
direct
0.0000 0.0000 0.1017
0.0000 0.0000 0.3043
0.0000 0.0000 0.6957
0.0000 0.0000 0.8983
0.0000 0.0000 0.5000
0.5000 0.5000 0.0000
0.5000 0.5000 0.2019
0.5000 0.5000 0.4084
0.5000 0.5000 0.5916
0.5000 0.5000 0.7981
```

---

Structure and computed X-ray diffraction stick pattern of Pr2Er5 (a cell relaxed with GGA-PBE; λ = 1.5418 Å (Cu Kα)).
Peak positions follow from Bragg's law for the DFT cell and can differ from measured ones.

Peak list (10 most intense, 2θ = 5–70°, in order of falling intensity)
2θ = 32.5°, rel. 100
2θ = 31.5°, rel. 24
2θ = 28.3°, rel. 24
2θ = 56.7°, rel. 21
2θ = 42.9°, rel. 16
2θ = 60.5°, rel. 15
2θ = 50.2°, rel. 13
2θ = 61.0°, rel. 11
2θ = 60.4°, rel. 8
2θ = 50.1°, rel. 7

```
Pr2Er5
1.0
7.8885 -3.1437 0.0000
7.8885 3.1437 0.0000
-0.9514 0.0000 9.1838
Pr Er
4 10
direct
0.0953 0.7580 0.8923
0.2420 0.9047 0.6077
0.7580 0.0953 0.3923
0.9047 0.2420 0.1077
0.0466 0.3818 0.8212
0.1901 0.5183 0.5344
0.3352 0.6648 0.2500
0.3818 0.0466 0.3212
0.4817 0.8099 0.9656
0.5183 0.1901 0.0344
0.6182 0.9534 0.6788
0.6648 0.3352 0.7500
0.8099 0.4817 0.4656
0.9534 0.6182 0.1788
```

---

Structure and computed X-ray diffraction stick pattern of PrEr (a cell relaxed with GGA-PBE; λ = 1.5418 Å (Cu Kα)).
Peak positions follow from Bragg's law for the DFT cell and can differ from measured ones.

Peak list (10 most intense, 2θ = 5–70°, in order of falling intensity)
2θ = 30.3°, rel. 100
2θ = 35.1°, rel. 51
2θ = 60.0°, rel. 42
2θ = 50.5°, rel. 36
2θ = 63.0°, rel. 12
2θ = 8.6°, rel. 3
2θ = 36.2°, rel. 2
2θ = 69.4°, rel. 1
2θ = 57.7°, rel. 1
2θ = 63.7°, rel. 1

```
PrEr
1.0
3.6119 0.0000 0.0000
0.0000 3.6119 0.0000
0.0000 0.0000 10.2291
Pr Er
2 2
direct
0.2500 0.2500 0.1314
0.7500 0.7500 0.8686
0.2500 0.2500 0.6180
0.7500 0.7500 0.3820
```

---

Structure and computed X-ray diffraction stick pattern of Pr3Er5 (a cell relaxed with GGA-PBE; λ = 1.5418 Å (Cu Kα)).
Peak positions follow from Bragg's law for the DFT cell and can differ from measured ones.

Peak list (10 most intense, 2θ = 5–70°, in order of falling intensity)
2θ = 30.6°, rel. 100
2θ = 35.2°, rel. 17
2θ = 35.4°, rel. 17
2θ = 35.7°, rel. 17
2θ = 60.3°, rel. 15
2θ = 60.6°, rel. 14
2θ = 60.9°, rel. 14
2θ = 63.6°, rel. 12
2θ = 50.8°, rel. 12
2θ = 51.0°, rel. 12

```
Pr3Er5
1.0
10.0667 0.0000 0.0000
0.0000 10.1965 0.0000
0.0000 0.0000 5.0717
Pr Er
6 10
direct
0.0000 0.0000 0.0000
0.0000 0.2530 0.5000
0.0000 0.7470 0.5000
0.5000 0.2470 0.5000
0.5000 0.5000 0.0000
0.5000 0.7530 0.5000
0.0000 0.5000 0.0000
0.2488 0.5000 0.5000
0.2500 0.2500 0.0000
0.2500 0.7500 0.0000
0.2512 0.0000 0.5000
0.5000 0.0000 0.0000
0.7488 0.0000 0.5000
0.7500 0.2500 0.0000
0.7500 0.7500 0.0000
0.7512 0.5000 0.5000
```

---

Structure and computed X-ray diffraction stick pattern of Pr2Er13 (a cell relaxed with GGA-PBE; λ = 1.5418 Å (Cu Kα)).
Peak positions follow from Bragg's law for the DFT cell and can differ from measured ones.

Peak list (10 most intense, 2θ = 5–70°, in order of falling intensity)
2θ = 32.2°, rel. 100
2θ = 32.3°, rel. 26
2θ = 30.4°, rel. 20
2θ = 57.5°, rel. 19
2θ = 62.5°, rel. 15
2θ = 45.0°, rel. 14
2θ = 58.4°, rel. 8
2θ = 62.6°, rel. 8
2θ = 37.7°, rel. 8
2θ = 52.0°, rel. 7

```
Pr2Er13
1.0
6.5613 0.0000 0.0000
1.3952 8.5732 0.0000
0.9137 3.0844 8.3521
Pr Er
2 13
direct
0.1982 0.3066 0.3959
0.8018 0.6934 0.6041
0.0000 0.5000 0.0000
0.0958 0.9249 0.6940
0.1363 0.6985 0.2632
0.2382 0.0752 0.9757
0.3352 0.4973 0.6697
0.4299 0.9223 0.3587
0.4657 0.6970 0.9351
0.5343 0.3030 0.0649
0.5701 0.0777 0.6413
0.6648 0.5027 0.3303
0.7618 0.9248 0.0243
0.8637 0.3015 0.7368
0.9042 0.0751 0.3060
```

---

Structure and computed X-ray diffraction stick pattern of Pr3Er4 (a cell relaxed with GGA-PBE; λ = 1.5418 Å (Cu Kα)).
Peak positions follow from Bragg's law for the DFT cell and can differ from measured ones.

Peak list (8 most intense, 2θ = 5–70°, in order of falling intensity)
2θ = 30.5°, rel. 100
2θ = 35.2°, rel. 34
2θ = 60.2°, rel. 29
2θ = 50.9°, rel. 24
2θ = 35.6°, rel. 17
2θ = 60.8°, rel. 14
2θ = 63.4°, rel. 12
2θ = 50.6°, rel. 12

```
Pr3Er4
1.0
3.6073 0.0000 0.0000
0.0000 5.0454 0.0000
0.0000 0.0000 25.2635
Pr Er
6 8
direct
0.0000 0.0000 0.0000
0.0000 0.0000 0.1431
0.0000 0.0000 0.8569
0.5000 0.5000 0.3569
0.5000 0.5000 0.5000
0.5000 0.5000 0.6431
0.0000 0.0000 0.2844
0.0000 0.0000 0.4280
0.0000 0.0000 0.5720
0.0000 0.0000 0.7156
0.5000 0.5000 0.0720
0.5000 0.5000 0.2156
0.5000 0.5000 0.7844
0.5000 0.5000 0.9280
```